This entry pairs a crystal structure of KVBO4 with its simulated powder diffractogram. Radiation: λ = 1.5418 Å (Cu Kα). Structure: a crystal structure in Alexandria, relaxed with PBE+U.
Neutral-atom scattering factors, no anomalous dispersion.

Structural model:
Cell: 4.780 5.313 7.039 Å, 90.00 109.62 90.00°
Space group P2_1/m (No. 11)
Asymmetric unit:
K: 0.209 0.250 0.442 [2 per cell]
V: 0.294 0.250 0.968 [2 per cell]
B: 0.248 0.750 0.141 [2 per cell]
O: 0.033 0.750 0.938 [2 per cell]
O: 0.065 0.750 0.271 [2 per cell]
O: 0.462 0.531 0.165 [4 per cell]

Top 6 peaks for 5° ≤ 2θ ≤ 70°, in order of rising 2θ:
(hkl)	d [Å]	I (rel.)
0 0 1	6.630	100.0
1 1 0	3.435	71.6
1 1 -2	2.766	32.2
0 2 0	2.657	40.1
1 1 2	2.128	37.3
0 2 2	2.073	27.1